(1)
Structure and theoretical powder diffraction line list of Li2CoP4O12 (a crystal structure in the Materials Project, relaxed with PBE+U; Cu Kα X-rays).

Main lines, by angle (2θ = 10–90°):
| index | d_spacing | Position (°2θ) | I/Imax |
| --- | --- | --- | --- |
| 0 1 1 | 5.712 | 15.51 | 727 |
| 1 1 -1 | 5.609 | 15.80 | 273 |
| 1 1 0 | 5.240 | 16.92 | 1000 |
| 1 2 -1 | 3.876 | 22.94 | 898 |
| 1 1 1 | 3.554 | 25.05 | 317 |
| 2 1 -1 | 3.480 | 25.60 | 586 |
| 0 1 2 | 3.375 | 26.41 | 373 |
| 1 2 -2 | 3.162 | 28.23 | 654 |
| 1 1 -3 | 2.703 | 33.14 | 273 |
| 2 2 0 | 2.620 | 34.22 | 241 |
| 1 0 2 | 2.596 | 34.56 | 239 |
| 0 2 4 | 1.688 | 54.34 | 215 |

Cell and atoms:
```
38
Lattice="7.5661 0.0000 0.0000 0.0000 9.2887 0.0000 -4.7026 0.0000 7.2443" Properties=species:S:1:pos:R:3 pbc="T T T"
Li 0.0235 1.4936 2.5108
Li -2.3278 3.1508 6.1329
Li 5.1913 6.1380 1.1114
Li 2.8400 7.7951 4.7335
Co -2.3513 0.0000 3.6221
Co 0.0000 4.6444 0.0000
P -0.1587 6.6269 2.7418
P -2.5100 7.3062 6.3639
P -0.1630 5.4918 5.5620
P 2.1883 8.4414 1.9399
P 0.6752 0.8474 5.3044
P 3.0265 3.7970 1.6823
P 5.3735 1.9825 0.8804
P 3.0222 2.6619 4.5025
O -0.5979 5.6032 1.7224
O -2.9492 8.3299 5.3445
O -3.5303 6.2527 6.6191
O -1.1790 7.6804 2.9970
O -0.5363 0.9916 4.4135
O 1.8150 3.6527 0.7914
O 1.4147 0.4155 1.9242
O -0.9366 4.2289 5.5463
O -1.0814 6.7705 5.9085
O 1.2699 7.1626 2.2864
O 0.3231 5.8651 4.0701
O 2.6744 8.0680 0.4479
O 0.1891 1.2207 6.7963
O 2.5404 3.4237 3.1742
O 1.5936 2.1261 4.9579
O 3.9449 2.5183 1.3358
O 3.8001 5.0598 1.6980
O 1.4488 8.8733 5.3201
O 1.0485 5.6360 6.4529
O 3.3998 8.2971 2.8308
O 4.0425 1.6083 4.2473
O 6.3938 3.0361 0.6251
O 5.8127 0.9589 1.8997
O 3.4614 3.6855 5.5219
```

---

(2)
Structure and theoretical powder diffraction line list of LiCo2P2O8 (a crystal structure in the Materials Project, relaxed with PBE+U; Cu Kα X-rays).

Main lines, by angle (2θ = 10–90°):
| index | d_spacing | Position (°2θ) | I/Imax |
| --- | --- | --- | --- |
| 1 1 -1 | 4.095 | 21.70 | 1000 |
| 0 0 2 | 4.068 | 21.85 | 195 |
| 2 0 0 | 3.961 | 22.45 | 696 |
| 1 0 2 | 3.271 | 27.26 | 588 |
| 2 1 -1 | 3.179 | 28.07 | 403 |
| 2 1 -2 | 2.804 | 31.91 | 311 |
| 0 2 0 | 2.592 | 34.60 | 253 |
| 0 2 1 | 2.471 | 36.36 | 151 |
| 0 1 3 | 2.403 | 37.42 | 145 |
| 3 0 2 | 1.980 | 45.83 | 140 |
| 2 3 -2 | 1.534 | 60.32 | 149 |
| 2 0 -6 | 1.407 | 66.44 | 124 |

Cell and atoms:
```
26
Lattice="8.2407 0.0000 0.0000 0.0000 5.1849 0.0000 -2.3318 0.0000 8.1361" Properties=species:S:1:pos:R:3 pbc="T T T"
Li 0.0000 0.8826 0.0000
Li -1.1659 4.3023 4.0680
Co 0.2768 1.6888 3.2608
Co -0.8891 3.4961 7.3288
Co 4.9410 0.9672 0.5565
Co 3.7751 4.2177 4.6246
P 0.2933 0.8791 6.2663
P 1.4592 4.3058 2.1983
P 5.2603 1.6357 3.6388
P 4.0944 3.5492 7.7068
O -0.9569 1.6088 6.8521
O 0.2090 3.5761 2.7841
O 1.0162 0.5654 1.8382
O -0.1497 4.6196 5.9062
O 0.9175 1.5826 5.0689
O 2.0834 3.6023 1.0008
O 1.3814 0.8621 7.3885
O 2.5473 4.3228 3.3204
O 4.5636 1.5873 2.2424
O 3.3977 3.5976 6.3104
O 4.4107 0.8454 4.6604
O 5.5766 4.3395 0.5924
O 6.5184 2.0438 0.0223
O 5.3525 3.1411 4.0904
O 6.6645 1.0101 3.5283
O 5.4986 4.1748 7.5963
```

---

(3)
Structure and theoretical powder diffraction line list of LiCoP4O12 (a crystal structure in the Materials Project, relaxed with PBE+U; Cu Kα X-rays).

Main lines, by angle (2θ = 10–90°):
| index | d_spacing | Position (°2θ) | I/Imax |
| --- | --- | --- | --- |
| 0 0 1 | 7.049 | 12.56 | 684 |
| 0 2 0 | 6.845 | 12.93 | 1000 |
| 0 1 1 | 6.267 | 14.13 | 224 |
| 1 0 0 | 5.156 | 17.20 | 161 |
| 1 2 0 | 4.119 | 21.58 | 199 |
| 1 1 1 | 3.775 | 23.57 | 259 |
| 1 2 -1 | 3.727 | 23.87 | 696 |
| 0 0 2 | 3.525 | 25.27 | 443 |
| 1 3 0 | 3.419 | 26.07 | 187 |
| 1 2 1 | 3.407 | 26.16 | 172 |
| 1 4 0 | 2.852 | 31.37 | 340 |
| 1 4 -1 | 2.712 | 33.04 | 169 |

Cell and atoms:
```
36
Lattice="5.1998 0.0000 0.0000 0.0000 13.6907 0.0000 -0.9161 0.0000 7.0491" Properties=species:S:1:pos:R:3 pbc="T T T"
Li 0.5088 0.0000 0.9633
Li 3.7749 6.8453 6.0859
Co -0.3742 3.1513 3.5646
Co 4.6578 9.9966 3.4846
P 0.6326 11.1580 6.2486
P 1.0502 2.2256 6.3209
P 2.0264 8.0965 3.2370
P 2.0942 11.9124 3.7873
P 2.1895 5.0671 3.2619
P 2.2573 1.2512 3.8121
P 3.2335 9.0710 0.7283
P 3.6510 4.3127 0.8006
O -0.1461 10.2072 5.3568
O -0.0443 2.7934 5.4298
O -0.1142 12.2276 6.9452
O 0.5670 8.2109 3.5745
O 0.7302 4.8831 3.5769
O 1.0775 11.0994 3.0303
O 1.5694 1.4065 0.4333
O 1.2878 2.1707 3.1234
O 1.7200 13.4557 3.4643
O 2.3264 10.3175 0.3090
O 2.2109 8.1957 1.6379
O 1.8545 11.7918 5.3757
O 2.4291 4.9465 1.6734
O 2.0728 1.3504 5.4113
O 1.9572 3.4722 6.7401
O 2.5637 6.6104 3.5848
O 2.9959 9.0160 3.9257
O 2.7142 8.2518 6.6158
O 3.2062 4.2541 4.0189
O 3.5535 11.7285 3.4723
O 3.7167 1.3656 3.4746
O 4.3979 5.3822 0.1040
O 4.3280 9.6387 1.6193
O 4.4298 3.3619 1.6923
```

---

(4)
Structure and theoretical powder diffraction line list of Li2CoP2O7 (a crystal structure in the Materials Project, relaxed with PBE+U; Cu Kα X-rays).

Main lines, by angle (2θ = 10–90°):
| index | d_spacing | Position (°2θ) | I/Imax |
| --- | --- | --- | --- |
| 0 0 2 | 6.306 | 14.04 | 498 |
| 1 1 -2 | 3.956 | 22.48 | 1000 |
| 2 0 0 | 3.868 | 22.99 | 560 |
| 1 1 2 | 3.189 | 27.98 | 91 |
| 1 1 -4 | 2.861 | 31.26 | 394 |
| 2 0 2 | 2.814 | 31.80 | 156 |
| 0 1 4 | 2.675 | 33.50 | 90 |
| 0 2 0 | 2.526 | 35.54 | 211 |
| 3 1 -2 | 2.476 | 36.29 | 174 |
| 2 0 -6 | 2.293 | 39.29 | 178 |
| 1 1 4 | 2.289 | 39.35 | 91 |
| 3 3 -2 | 1.448 | 64.32 | 128 |

Cell and atoms:
```
48
Lattice="8.5182 0.0000 0.0000 0.0000 5.0514 0.0000 -5.8112 0.0000 12.6130" Properties=species:S:1:pos:R:3 pbc="T T T"
Li -2.3941 1.1064 5.3386
Li -5.2997 1.4193 11.6451
Li 1.9712 3.7275 4.1204
Li -0.9344 3.8496 10.4269
Li 3.6413 1.2018 2.1861
Li 0.7357 1.3239 8.4925
Li 8.0067 3.6320 0.9679
Li 5.1011 3.9450 7.2744
Co -0.6818 3.7391 6.5844
Co 2.2238 3.8380 0.2779
Co 0.4831 1.2134 12.3350
Co 3.3887 1.3123 6.0286
P 0.6228 1.1753 1.8519
P -2.2828 1.3504 8.1584
P 0.4392 1.1902 4.7974
P -2.4664 1.3355 11.1039
P 5.1734 3.7159 1.5091
P 2.2678 3.8612 7.8156
P 4.9898 3.7010 4.4545
P 2.0842 3.8761 10.7610
O -5.3642 3.4126 11.7618
O -2.4585 4.1645 5.4553
O -3.0093 1.1137 9.5837
O -0.1037 1.4120 3.2772
O -1.9857 2.8599 8.0644
O 0.9199 4.7172 1.7579
O -3.5445 0.6239 11.9157
O -0.6389 1.9018 5.6092
O -1.0274 0.4677 8.0904
O 1.8782 2.0580 1.7839
O -2.4158 2.8458 11.3830
O 0.4898 4.7312 5.0765
O -1.0860 0.6661 11.1426
O 1.8196 1.8596 4.8361
O 0.8874 3.1918 7.7768
O 3.7930 4.3853 1.4704
O 2.2171 0.3201 7.5365
O 5.1227 2.2055 1.2300
O 0.8287 2.9934 10.8290
O 3.7343 4.5837 4.5226
O 3.3458 3.1496 7.0037
O 6.2514 4.4275 0.6973
O 1.7871 0.3342 10.8550
O 4.6927 2.1915 4.5485
O 2.8106 3.6393 9.3357
O 5.7162 3.9377 3.0292
O 5.1655 0.8869 7.1577
O 8.0711 1.6388 0.8512
```

---

(5)
Structure and theoretical powder diffraction line list of LiCoP2O7 (a crystal structure in the Materials Project, relaxed with PBE+U; Cu Kα X-rays).

Main lines, by angle (2θ = 10–90°):
| index | d_spacing | Position (°2θ) | I/Imax |
| --- | --- | --- | --- |
| 1 1 -1 | 5.066 | 17.51 | 1000 |
| 1 0 -2 | 4.517 | 19.65 | 108 |
| 1 1 1 | 4.005 | 22.20 | 333 |
| 0 1 2 | 3.879 | 22.93 | 248 |
| 2 0 0 | 3.372 | 26.43 | 172 |
| 2 1 0 | 3.100 | 28.80 | 391 |
| 2 1 -2 | 3.048 | 29.30 | 232 |
| 0 2 2 | 2.953 | 30.26 | 752 |
| 1 1 -3 | 2.931 | 30.49 | 222 |
| 3 1 -1 | 2.286 | 39.41 | 106 |
| 3 1 1 | 1.955 | 46.45 | 116 |
| 4 0 -2 | 1.800 | 50.73 | 106 |

Cell and atoms:
```
44
Lattice="7.2020 0.0000 0.0000 0.0000 7.8894 0.0000 -3.3413 0.0000 8.9095" Properties=species:S:1:pos:R:3 pbc="T T T"
Li 0.7143 0.1704 1.9104
Li -0.9563 3.7743 6.3651
Li 4.8171 4.1151 2.5444
Li 3.1464 7.7190 6.9992
Co -0.8003 0.0605 6.6950
Co 0.8703 3.8842 2.2403
Co 2.9904 4.0052 6.6693
Co 4.6611 7.8289 2.2145
P -1.9620 5.6049 8.4896
P -0.2914 6.2292 4.0348
P 2.8585 1.8932 0.4007
P 1.1879 2.0515 4.8555
P 2.6729 5.8379 4.0540
P 1.0023 5.9962 8.5088
P 4.1521 1.6602 4.8747
P 5.8228 2.2845 0.4199
O -2.5184 4.5484 7.5329
O -0.8478 7.2857 3.0781
O -0.4679 4.7882 3.5231
O -2.1385 7.0459 7.9779
O 0.9637 5.5279 1.0498
O -0.7069 6.3062 5.5045
O 0.1553 1.0711 5.3424
O 1.8260 2.8736 0.8877
O -0.6888 1.6682 7.8026
O 0.9818 2.2765 3.3478
O -0.3958 5.2062 8.3449
O 1.2749 6.6279 3.8901
O 2.9308 0.6160 1.2517
O 1.2602 3.3287 5.7065
O 2.6006 4.5607 3.2030
O 0.9299 7.2734 7.6578
O 2.5859 1.2615 5.0194
O 4.2565 2.6832 0.5646
O 2.8790 5.6129 5.5617
O 4.5496 6.2212 1.1069
O 2.0348 5.0158 8.0218
O 3.7054 6.8183 3.5671
O 4.5677 1.5832 3.4050
O 2.8971 2.3615 7.8597
O 5.9993 0.8435 0.9316
O 4.3287 3.1012 5.3864
O 4.7086 0.6037 5.8314
O 6.3792 3.3410 1.3767
```